Record 1
Calculated powder diffraction line list
Compound: Ta19Ni18Mo2
Radiation: Cu Ka
Structure: DFT lattice parameters and positions (GGA-PBE)
No peak broadening, texture or thermal motion is included.

Structure:
Cell: 4.9170 4.9170 27.0705 Å, 90.00 90.00 120.00°
Space group P-3m1 (No. 164)
One atom of each set of equivalent atoms:
1 Ta 0.0000 0.0000 0.0000 x1
2 Ta 0.0000 0.0000 0.1645 x2
3 Ta 0.0000 0.0000 0.3457 x2
4 Ta 0.0000 0.0000 0.4510 x2
5 Ta 0.3333 0.6667 0.1691 x2
6 Ta 0.3333 0.6667 0.4972 x2
7 Ta 0.3333 0.6667 0.6791 x2
8 Ta 0.3333 0.6667 0.7841 x2
9 Ta 0.3333 0.6667 0.8823 x2
10 Ta 0.3333 0.6667 0.9876 x2
11 Ni 0.0031 0.5015 0.5887 x6
12 Ni 0.1652 0.3303 0.2555 x6
13 Ni 0.1694 0.3389 0.0782 x6
14 Mo 0.3333 0.6667 0.3334 x2

Main lines, most intense first (15 to 90 degrees two-theta):
| (hkl) | two_theta | d_spacing | I (rel.) |
| --- | --- | --- | --- |
| 1 1 0 | 36.55 | 2.459 | 100 |
| 1 1 6 | 41.84 | 2.159 | 83 |
| 0 1 10 | 39.44 | 2.285 | 58 |
| 1 0 11 | 42.42 | 2.131 | 41 |
| 2 2 0 | 77.68 | 1.229 | 24 |
| 1 2 10 | 67.73 | 1.383 | 23 |

***

Record 2
Calculated powder diffraction line list
Compound: Cs2NaTmCl6
Radiation: Cu Ka
Structure: DFT lattice parameters and positions (GGA-PBE)
No peak broadening, texture or thermal motion is included.

Structure:
Cell: 10.8496 10.8496 10.8496 Å, 90.00 90.00 90.00°
Space group Fm-3m (No. 225)
One atom of each set of equivalent atoms:
1 Cs 0.2500 0.2500 0.2500 x8
2 Na 0.0000 0.0000 0.0000 x4
3 Tm 0.0000 0.0000 0.5000 x4
4 Cl 0.0000 0.0000 0.2596 x24

Main lines, most intense first (15 to 90 degrees two-theta):
| (hkl) | two_theta | d_spacing | I (rel.) |
| --- | --- | --- | --- |
| 2 2 0 | 23.19 | 3.836 | 100 |
| 4 0 0 | 33.02 | 2.712 | 63 |
| 4 2 2 | 40.74 | 2.215 | 46 |
| 4 4 0 | 47.40 | 1.918 | 43 |
| 6 4 2 | 64.24 | 1.450 | 25 |
| 2 2 2 | 28.50 | 3.132 | 23 |

***

Record 3
Calculated powder diffraction line list
Compound: Li2FeS2
Radiation: Cu Ka
Structure: DFT lattice parameters and positions (GGA-PBE)
No peak broadening, texture or thermal motion is included.

Structure:
Cell: 5.7707 5.7707 5.6908 Å, 90.00 90.00 90.00°
Space group P4_2/mcm (No. 132)
One atom of each set of equivalent atoms:
1 Li 0.0000 0.5000 0.2500 x4
2 Fe 0.0000 0.0000 0.2500 x2
3 S 0.2279 0.2279 0.0000 x4

Main lines, most intense first (15 to 90 degrees two-theta):
| (hkl) | two_theta | d_spacing | I (rel.) |
| --- | --- | --- | --- |
| 1 0 0 | 15.35 | 5.771 | 100 |
| 1 1 1 | 26.89 | 3.316 | 48 |
| 2 0 2 | 44.73 | 2.026 | 43 |
| 1 1 0 | 21.78 | 4.081 | 23 |
| 2 2 0 | 44.40 | 2.040 | 21 |
| 2 1 2 | 47.57 | 1.912 | 19 |

***

Record 4
Calculated powder diffraction line list
Compound: LaWN3
Radiation: Cu Ka
Structure: DFT lattice parameters and positions (GGA-PBE)
No peak broadening, texture or thermal motion is included.

Structure:
Cell: 5.7125 5.7125 13.9597 Å, 90.00 90.00 120.00°
Space group R3c (No. 161, hexagonal axes)
One atom of each set of equivalent atoms:
1 La 0.0000 0.0000 0.0000 x6
2 W 0.0000 0.0000 0.2493 x6
3 N 0.0014 0.4468 0.0190 x18

Main lines, most intense first (15 to 90 degrees two-theta):
| (hkl) | two_theta | d_spacing | I (rel.) |
| --- | --- | --- | --- |
| 1 0 4 | 31.34 | 2.854 | 100 |
| 3 0 0 | 55.76 | 1.648 | 31 |
| 0 2 4 | 44.92 | 2.018 | 24 |
| 1 2 8 | 74.32 | 1.276 | 18 |
| 0 1 8 | 55.87 | 1.646 | 10 |
| 2 2 0 | 65.34 | 1.428 | 7 |

***

Record 5
Calculated powder diffraction line list
Compound: CoSi4Ni
Radiation: Cu Ka
Structure: DFT lattice parameters and positions (GGA-PBE)
No peak broadening, texture or thermal motion is included.

Structure:
Cell: 3.8134 3.8134 18.6778 Å, 90.00 90.00 120.00°
Space group R-3m (No. 166, hexagonal axes)
One atom of each set of equivalent atoms:
1 Co 0.0000 0.0000 0.0000 x3
2 Si 0.0000 0.0000 0.1233 x6
3 Si 0.0000 0.0000 0.3733 x6
4 Ni 0.0000 0.0000 0.5000 x3

Main lines, most intense first (15 to 90 degrees two-theta):
| (hkl) | two_theta | d_spacing | I (rel.) |
| --- | --- | --- | --- |
| 1 1 0 | 47.70 | 1.907 | 100 |
| 0 1 2 | 28.67 | 3.113 | 80 |
| 2 0 2 | 56.61 | 1.626 | 32 |
| 3 0 0 | 88.91 | 1.101 | 32 |
| 2 0 8 | 69.76 | 1.348 | 15 |
| 1 2 2 | 77.09 | 1.237 | 12 |